Calculated PXRD pattern
Compound: Mg3InAg4
Radiation: Cu Kα, 1.54184 Å
Structure: the GGA-PBE geometry in the Materials Project
Kinematic intensities with the Lorentz-polarization factor, no thermal factor.

Most intense lines, 5 to 70 degrees two-theta, low angle first:
- hkl 0 0 3, 2θ 11.33, intensity 9
- hkl 1 0 1, 2θ 21.94, intensity 8
- hkl 1 0 4, 2θ 26.48, intensity 41
- hkl 0 1 8, 2θ 37.70, intensity 100
- hkl 1 1 0, 2θ 37.89, intensity 99
- hkl 0 2 4, 2θ 46.82, intensity 8
- hkl 2 0 8, 2θ 54.52, intensity 33
- hkl 1 0 16, 2θ 67.95, intensity 16
- hkl 1 2 8, 2θ 68.31, intensity 32
- hkl 3 0 0, 2θ 68.43, intensity 16

Structural model:
```
data_Mg3InAg4
_chemical_formula_sum 'Mg9 In3 Ag12'
_symmetry_space_group_name_H-M 'R -3 m'
_symmetry_Int_Tables_number 166
_symmetry_space_group_name_Hall '-R 3 2"'
_cell_length_a 4.7494
_cell_length_b 4.7494
_cell_length_c 23.4309
_cell_angle_alpha 90.00
_cell_angle_beta 90.00
_cell_angle_gamma 120.00
loop_
_atom_site_label
_atom_site_type_symbol
_atom_site_fract_x
_atom_site_fract_y
_atom_site_fract_z
Mg1 Mg 0.0000 0.0000 0.0000
Mg2 Mg 0.0000 0.0000 0.2508
In1 In 0.0000 0.0000 0.5000
Ag1 Ag 0.0000 0.0000 0.1236
Ag2 Ag 0.0000 0.0000 0.3734
```